Record 1
The following is a theoretical PXRD pattern of InBiBr6. It was derived from a crystal structure in Alexandria, relaxed with PBE, using Cu Kα X-rays.
Peak positions follow from Bragg's law for the DFT cell and can differ from measured ones.

Cell and atoms:
```
data_InBiBr6
_cell_length_a 6.9989
_cell_length_b 6.9989
_cell_length_c 18.9621
_cell_angle_alpha 90.00
_cell_angle_beta 90.00
_cell_angle_gamma 120.00
_space_group_name_H-M_alt 'R -3'
_space_group_IT_number 148
_space_group_name_Hall '-R 3'
loop_
_atom_site_label
_atom_site_type_symbol
_atom_site_fract_x
_atom_site_fract_y
_atom_site_fract_z
In1 In 0.0000 0.0000 0.0000
Bi1 Bi 0.0000 0.0000 0.5000
Br1 Br 0.0055 0.3473 0.5857
```

Largest 8 diffraction maxima, most intense first, 5 to 70 degrees two-theta:
two_theta	Rel. int.	index
29.17	100	2 -1 3
17.36	93	0 1 2
38.38	81	1 1 6
44.86	52	3 0 0
23.83	46	1 0 4
30.98	24	2 0 2
40.51	23	1 2 2
60.48	21	4 -2 6

=====

Record 2
The following is a theoretical PXRD pattern of Ga3Fe8B2. It was derived from a crystal structure in Alexandria, relaxed with PBE, using Cu Kα X-rays.
Peak positions follow from Bragg's law for the DFT cell and can differ from measured ones.

Cell and atoms:
```
data_Ga3Fe8B2
_cell_length_a 6.3768
_cell_length_b 12.8726
_cell_length_c 3.7738
_cell_angle_alpha 90.00
_cell_angle_beta 90.00
_cell_angle_gamma 90.00
_space_group_name_H-M_alt 'C m m m'
_space_group_IT_number 65
_space_group_name_Hall '-C 2 2'
loop_
_atom_site_label
_atom_site_type_symbol
_atom_site_fract_x
_atom_site_fract_y
_atom_site_fract_z
Ga1 Ga 0.0000 0.0000 0.0000
Ga2 Ga 0.2007 0.5000 0.5000
Fe1 Fe 0.0000 0.1441 0.5000
Fe2 Fe 0.0000 0.3303 0.5000
Fe3 Fe 0.2440 0.3508 0.0000
B1 B 0.0000 0.2451 0.0000
```

Largest 8 diffraction maxima, most intense first, 5 to 70 degrees two-theta:
two_theta	Rel. int.	index
46.78	100	2 4 1
39.56	62	2 2 1
42.12	38	0 6 0
48.23	37	0 0 2
36.91	23	2 0 1
65.93	19	0 6 2
44.93	16	1 5 1
57.84	15	4 0 0

=====

Record 3
The following is a theoretical PXRD pattern of Y3Si6Ni20. It was derived from a crystal structure in Alexandria, relaxed with PBE, using Cu Kα X-rays.
Peak positions follow from Bragg's law for the DFT cell and can differ from measured ones.

Cell and atoms:
```
data_Y3Si6Ni20
_cell_length_a 11.4431
_cell_length_b 11.4431
_cell_length_c 11.4431
_cell_angle_alpha 90.00
_cell_angle_beta 90.00
_cell_angle_gamma 90.00
_space_group_name_H-M_alt 'F m -3 m'
_space_group_IT_number 225
_space_group_name_Hall '-F 4 2 3'
loop_
_atom_site_label
_atom_site_type_symbol
_atom_site_fract_x
_atom_site_fract_y
_atom_site_fract_z
Y1 Y 0.0000 0.0000 0.0000
Y2 Y 0.2500 0.2500 0.2500
Si1 Si 0.0000 0.0000 0.2662
Ni1 Ni 0.0000 0.1769 0.1769
Ni2 Ni 0.1142 0.1142 0.3858
```

Largest 8 diffraction maxima, most intense first, 5 to 70 degrees two-theta:
two_theta	Rel. int.	index
40.98	100	3 3 3
44.80	39	4 4 0
38.54	28	4 2 2
69.73	26	6 6 0
46.98	25	5 3 1
35.07	21	4 2 0
53.09	15	6 2 2
47.68	8	6 0 0

=====

Record 4
The following is a theoretical PXRD pattern of Tb6Tm8Sc. It was derived from a crystal structure in Alexandria, relaxed with PBE, using Cu Kα X-rays.
Peak positions follow from Bragg's law for the DFT cell and can differ from measured ones.

Cell and atoms:
```
data_Tb6Tm8Sc
_cell_length_a 9.2082
_cell_length_b 9.2082
_cell_length_c 6.4866
_cell_angle_alpha 90.00
_cell_angle_beta 90.00
_cell_angle_gamma 120.00
_space_group_name_H-M_alt 'P -3'
_space_group_IT_number 147
loop_
_space_group_symop_operation_xyz
'x,y,z'
'-x,-y,-z'
'-y,x-y,z'
'y,-x+y,-z'
'-x+y,-x,z'
'x-y,x,-z'
loop_
_atom_site_label
_atom_site_type_symbol
_atom_site_fract_x
_atom_site_fract_y
_atom_site_fract_z
Tb1 Tb 0.0850 0.6764 0.3923
Tm1 Tm 0.0083 0.3107 0.1178
Tm2 Tm 0.3333 0.6667 0.8601
Sc1 Sc 0.0000 0.0000 0.5000
```

Largest 8 diffraction maxima, most intense first, 5 to 70 degrees two-theta:
two_theta	Rel. int.	index
33.77	100	3 0 0
32.76	37	3 -2 1
29.69	21	1 0 2
26.24	18	2 0 1
51.93	13	5 -3 1
19.28	11	1 1 0
49.89	10	1 3 2
67.68	8	3 0 4

=====

Copy entry 2 word for word.
The following is a theoretical PXRD pattern of Ga3Fe8B2. It was derived from a crystal structure in Alexandria, relaxed with PBE, using Cu Kα X-rays.
Peak positions follow from Bragg's law for the DFT cell and can differ from measured ones.

Cell and atoms:
```
data_Ga3Fe8B2
_cell_length_a 6.3768
_cell_length_b 12.8726
_cell_length_c 3.7738
_cell_angle_alpha 90.00
_cell_angle_beta 90.00
_cell_angle_gamma 90.00
_space_group_name_H-M_alt 'C m m m'
_space_group_IT_number 65
_space_group_name_Hall '-C 2 2'
loop_
_atom_site_label
_atom_site_type_symbol
_atom_site_fract_x
_atom_site_fract_y
_atom_site_fract_z
Ga1 Ga 0.0000 0.0000 0.0000
Ga2 Ga 0.2007 0.5000 0.5000
Fe1 Fe 0.0000 0.1441 0.5000
Fe2 Fe 0.0000 0.3303 0.5000
Fe3 Fe 0.2440 0.3508 0.0000
B1 B 0.0000 0.2451 0.0000
```

Largest 8 diffraction maxima, most intense first, 5 to 70 degrees two-theta:
two_theta	Rel. int.	index
46.78	100	2 4 1
39.56	62	2 2 1
42.12	38	0 6 0
48.23	37	0 0 2
36.91	23	2 0 1
65.93	19	0 6 2
44.93	16	1 5 1
57.84	15	4 0 0

=====

> Number 2 is which compound?

Ga3Fe8B2